For CsBeCr2O8, a DFT-relaxed cell (GGA+U, Alexandria) gives the calculated X-ray diffraction stick pattern in this record (CuKα).

Structural model:
Cell: 9.1680 9.1680 9.1680 Å, 33.46 33.46 33.46°
Sites, in units of the cell vectors:
1 Cs 0.0000 0.0000 0.0000
2 Be 0.5000 0.5000 0.5000
3 Cr 0.2283 0.2283 0.2283
4 Cr 0.7717 0.7717 0.7717
5 O 0.1373 0.6288 0.6118
6 O 0.2919 0.2919 0.2919
7 O 0.3712 0.3882 0.8627
8 O 0.3882 0.8627 0.3712
9 O 0.6118 0.1373 0.6288
10 O 0.6288 0.6118 0.1373
11 O 0.7081 0.7081 0.7081
12 O 0.8627 0.3712 0.3882

Top 10 peaks for 2θ = 5–70°, sorted by position:
2θ/deg  d [Å]  I_rel
19.7  4.501  19
23.8  3.736  100
26.0  3.430  31
31.0  2.882  17
34.0  2.640  38
35.6  2.524  14
39.6  2.276  12
46.7  1.946  16
48.7  1.868  11
55.0  1.669  17